The following is a theoretical XRD peak list of Zn3Fe2C12N12. It was derived from a cell relaxed with PBE, using Cu Kα.
Lines closer than 0.1° are merged.

Atomic structure:
```
Zn3Fe2C12N12
1.0
6.2425 3.6041 10.7995
-6.2425 3.6041 10.7995
0.0000 -7.2082 10.7995
Zn Fe C N
6 4 24 24
Cartesian
-4.4394 -0.4811 13.4994
-1.8031 -4.0852 18.8991
2.6363 -3.6041 13.4994
-2.6363 3.6041 18.8991
1.8031 4.0852 13.4994
4.4394 0.4811 18.8991
0.0000 0.0000 4.7314
0.0000 0.0000 11.4678
0.0000 0.0000 20.9307
0.0000 0.0000 27.6671
-4.6881 -3.7704 17.9089
-0.8954 -1.2306 5.8443
-5.6093 2.1748 14.4896
-0.6180 1.3907 5.8443
-0.6180 -1.3907 10.3549
0.9212 -5.9452 14.4896
-1.5544 -0.1663 12.5091
1.5134 -0.1602 5.8443
-0.8954 1.2306 10.3549
0.9212 -1.2629 12.5091
1.5134 0.1602 10.3549
-0.6331 -1.4293 19.8894
0.6331 1.4293 12.5091
-1.5134 -0.1601 22.0436
-0.9212 1.2629 19.8894
0.8954 -1.2306 22.0436
-1.5134 0.1601 26.5542
1.5544 0.1663 19.8894
-0.9212 5.9452 17.9089
0.6180 1.3907 22.0436
0.6180 -1.3907 26.5542
5.6093 -2.1748 17.9089
0.8954 1.2306 26.5542
4.6881 3.7704 14.4896
-4.8112 -1.6298 15.0283
-5.2049 1.2511 13.8979
-3.6859 -3.8821 18.5005
-0.9941 -2.2267 9.6286
-2.5565 -0.2780 13.1008
-0.9941 -4.9815 17.3702
-1.4313 1.9743 9.6286
1.5190 -5.1331 13.8980
-3.8171 3.3517 17.3702
-1.0375 -2.3530 19.2977
1.5190 -2.0750 13.1008
-2.4254 -0.2524 22.7699
2.4254 0.2524 9.6286
-1.5190 2.0750 19.2977
1.0375 2.3530 13.1008
3.8171 -3.3517 15.0283
-1.5190 5.1332 18.5005
1.4313 -1.9743 22.7699
0.9941 4.9815 15.0283
2.5565 0.2780 19.2977
0.9941 2.2267 22.7699
3.6859 3.8821 13.8979
5.2049 -1.2511 18.5005
4.8112 1.6298 17.3702
```

Main lines, in order of rising 2θ (2θ from 10° to 90°):
2θ/deg  intensity
13.66  27
14.19  8
16.40  100
19.74  22
21.76  34
21.92  11
24.70  15
28.62  12
33.16  10
41.01  7



The following is a theoretical XRD peak list of Sc2Nb4Fe3C3. It was derived from a cell relaxed with PBE, using Cu Kα.
Lines closer than 0.1° are merged.

Atomic structure:
```
Sc2Nb4Fe3C3
1.0
4.6916 -2.7075 0.0000
4.6916 2.7075 0.0000
-3.2099 0.0000 13.3457
Sc Nb Fe C
4 8 6 6
Cartesian
2.3177 2.2602 8.2331
2.2507 2.2602 11.7854
3.9226 -2.2602 1.5602
3.8557 -2.2602 5.1126
2.3069 0.4427 1.1895
2.3151 0.4895 5.4826
0.7019 -0.4427 7.8624
0.7102 -0.4895 12.1554
5.4632 0.4895 1.1903
5.4714 0.4427 5.4833
3.8583 -0.4895 7.8631
3.8665 -0.4427 12.1562
-0.1007 0.8665 10.0146
1.5043 -0.8665 3.3418
3.8892 0.4171 3.3364
2.2842 -0.4171 10.0093
4.6691 0.8665 10.0039
6.2741 -0.8665 3.3311
0.7409 1.3537 6.6728
3.9073 1.3522 0.0028
3.8710 1.3522 6.6701
2.3458 -1.3537 0.0000
2.3024 -1.3522 6.6756
2.2660 -1.3522 13.3429
```

Main lines, in order of rising 2θ (2θ from 10° to 90°):
2θ/deg  intensity
19.06  25
19.45  19
33.08  20
33.77  32
38.84  50
38.98  100
40.56  33
42.91  15
59.09  25
69.81  17



The following is a theoretical XRD peak list of Sc4Nb2Fe3C3. It was derived from a cell relaxed with PBE, using Cu Kα.
Lines closer than 0.1° are merged.

Atomic structure:
```
Sc4Nb2Fe3C3
1.0
4.8340 -2.7646 0.0000
4.8340 2.7646 0.0000
-2.9652 0.0000 13.5204
Sc Nb Fe C
8 4 6 6
Cartesian
0.8016 0.4358 1.2576
0.8832 0.4848 5.4895
-0.6810 -0.4358 8.0178
-0.5995 -0.4848 12.2498
7.3021 0.4848 1.2707
7.3837 0.4358 5.5026
5.8195 -0.4848 8.0309
5.9011 -0.4358 12.2628
3.9869 0.4373 1.2436
4.1984 0.4373 5.5166
2.5043 -0.4373 8.0039
2.7158 -0.4373 12.2768
0.4949 0.5838 10.1295
2.6100 1.3694 10.1403
1.9775 -0.5838 3.3693
4.7252 0.5838 10.1512
4.0926 -1.3694 3.3801
6.2078 -0.5838 3.3909
2.4170 1.3823 0.0000
2.6052 1.2628 6.7289
5.5801 1.2628 0.0313
0.9344 -1.3823 6.7602
1.1226 -1.2628 13.4891
4.0975 -1.2628 6.7915
```

Main lines, in order of rising 2θ (2θ from 10° to 90°):
2θ/deg  intensity
18.60  34
25.21  19
25.68  21
37.57  34
37.70  75
38.19  100
38.28  69
40.01  57
57.62  44
71.42  21